No. 1
Calculated XRD peak list
Compound: Tb2Er5TmTh
Radiation: Cu Kα (λ = 1.5418 Å)
Structure: DFT lattice parameters and positions (PBE)
Kinematic intensities with the Lorentz-polarization factor, no thermal factor.

Crystal structure
```
data_Tb2Er5TmTh
_chemical_formula_sum 'Tb8 Er20 Tm4 Th4'
_symmetry_space_group_name_H-M 'I 4/m c m'
_symmetry_Int_Tables_number 140
_symmetry_space_group_name_Hall '-I 4 2c'
_cell_length_a 8.724
_cell_length_b 8.724
_cell_length_c 14.868
_cell_angle_alpha 90.00
_cell_angle_beta 90.00
_cell_angle_gamma 90.00
loop_
_atom_site_label
_atom_site_fract_x
_atom_site_fract_y
_atom_site_fract_z
Tb1 0.114 0.386 0.000
Er1 0.000 0.000 0.000
Er2 0.210 0.290 0.363
Tm1 0.000 0.500 0.250
Th1 0.000 0.000 0.250
```

Principal peaks in the range 5 to 70 degrees two-theta, in order of rising 2θ:
two_theta  I_rel  hkl
28.95  54  2 2 0
29.13  41  2 1 3
31.62  100  2 0 4
32.45  15  3 1 0
37.66  16  3 2 1
38.05  10  2 1 5
43.21  22  4 0 2
49.01  11  0 0 8
53.01  23  4 2 4
57.93  13  2 2 8
59.47  9  5 1 4
60.00  12  4 4 0

=====

No. 2
Calculated XRD peak list
Compound: La2Sm4Ho5
Radiation: Cu Kα (λ = 1.5418 Å)
Structure: DFT lattice parameters and positions (PBE)
Kinematic intensities with the Lorentz-polarization factor, no thermal factor.

Crystal structure
```
data_La2Sm4Ho5
_chemical_formula_sum 'La4 Sm8 Ho10'
_symmetry_space_group_name_H-M 'C 1 2/m 1'
_symmetry_Int_Tables_number 12
_cell_length_a 17.694
_cell_length_b 3.551
_cell_length_c 11.776
_cell_angle_alpha 90.00
_cell_angle_beta 94.68
_cell_angle_gamma 90.00
loop_
_symmetry_equiv_pos_as_xyz
'x,y,z'
'-x,-y,-z'
'-x,y,-z'
'x,-y,z'
'x+1/2,y+1/2,z'
'-x+1/2,-y+1/2,-z'
'-x+1/2,y+1/2,-z'
'x+1/2,-y+1/2,z'
loop_
_atom_site_label
_atom_site_fract_x
_atom_site_fract_y
_atom_site_fract_z
La1 0.215 0.000 0.349
Sm1 0.033 0.500 0.255
Sm2 0.140 0.000 0.799
Ho1 0.000 0.000 0.000
Ho2 0.094 0.500 0.540
Ho3 0.176 0.500 0.065
```

Principal peaks in the range 5 to 70 degrees two-theta, in order of rising 2θ:
two_theta  I_rel  hkl
29.63  30  1 1 -2
30.06  21  1 1 2
30.73  100  6 0 -1
31.34  59  2 0 -4
31.79  53  4 0 3
32.60  41  3 1 -2
33.78  34  3 1 2
36.67  17  3 1 -3
37.17  17  5 1 1
51.47  17  0 2 0
61.17  19  6 2 -1
61.51  17  2 2 -4

=====

No. 3
Calculated XRD peak list
Compound: Cs4KRb4
Radiation: Cu Kα (λ = 1.5418 Å)
Structure: DFT lattice parameters and positions (PBE)
Kinematic intensities with the Lorentz-polarization factor, no thermal factor.

Crystal structure
```
data_Cs4KRb4
_chemical_formula_sum 'Cs8 K2 Rb8'
_symmetry_space_group_name_H-M 'I 4/m'
_symmetry_Int_Tables_number 87
_symmetry_space_group_name_Hall '-I 4'
_cell_length_a 15.598
_cell_length_b 15.598
_cell_length_c 7.303
_cell_angle_alpha 90.00
_cell_angle_beta 90.00
_cell_angle_gamma 90.00
loop_
_atom_site_label
_atom_site_fract_x
_atom_site_fract_y
_atom_site_fract_z
Cs1 0.164 0.165 0.000
K1 0.000 0.000 0.500
Rb1 0.000 0.338 0.500
```

Principal peaks in the range 5 to 70 degrees two-theta, in order of rising 2θ:
two_theta  I_rel  hkl
20.97  100  3 0 1
24.21  35  3 3 0
24.38  17  0 0 2
34.50  14  6 0 0
34.62  27  3 3 2
40.72  34  6 3 1
40.94  17  3 0 3
42.69  15  6 0 2
54.58  14  6 3 3
55.96  14  6 6 2
61.89  10  9 3 2
66.04  8  9 6 1